Starting from a structure optimized by DFT (GGA-PBE), the powder XRD pattern of LaThN2 was calculated for Cu Kα X-rays.
Kinematic intensities with the Lorentz-polarization factor, no thermal factor.

Atomic structure:
```
LaThN2
1.0
1.851 1.069 6.069
-1.851 1.069 6.069
0.000 -2.137 6.069
La Th N
1 1 2
Cartesian
0.000 0.000 0.000 La
0.000 0.000 9.104 Th
0.000 0.000 4.403 N
0.000 0.000 13.805 N
```

Principal peaks in the range 10 to 90 degrees two-theta, low angle first:
- 14.60 deg, intensity 12
- 29.43 deg, intensity 34
- 29.54 deg, intensity 100
- 34.21 deg, intensity 93
- 49.09 deg, intensity 33
- 49.23 deg, intensity 33
- 58.28 deg, intensity 16
- 58.42 deg, intensity 47
- 61.31 deg, intensity 17
- 79.86 deg, intensity 13
- 82.14 deg, intensity 15
- 82.35 deg, intensity 15